Simulated X-ray diffraction stick pattern of Mn3B4Mo3 for a wavelength of 1.5418 Å, from a DFT-relaxed cell (PBE, the Materials Project).

Cell and atoms:
```
Mn3B4Mo3
1.0
3.0920 0.0000 0.0000
0.0000 4.0684 3.9947
0.0000 -4.0684 3.9947
Mn B Mo
3 4 3
direct
0.0000 0.0000 0.0000
0.5000 0.3235 0.8267
0.5000 0.8267 0.3235
0.5000 0.1988 0.1988
0.5000 0.4399 0.4399
0.5000 0.7273 0.9494
0.5000 0.9494 0.7273
0.0000 0.1451 0.5009
0.0000 0.5009 0.1451
0.0000 0.6536 0.6536
```

Most intense lines, 10 to 90 degrees two-theta, in order of rising 2θ:
two_theta  I (rel.)
28.9  30.1
34.9  53.8
35.5  39.5
36.8  33.4
43.2  100.0
45.9  63.3
46.4  51.1
50.9  26.1